1.
Lu4Ni: simulated powder XRD pattern (Cu Kα, 1.54184 Å), based on a GGA-PBE-relaxed structure.
Peak positions follow from Bragg's law for the DFT cell and can differ from measured ones.

Top 10 peaks for 10° ≤ 2θ ≤ 90°, low angle first:
d/Å  intensity
3.015  100
2.611  40
2.396  11
2.010  13
1.846  40
1.575  37
1.508  8
1.463  6
1.198  12
1.168  9

Structural model:
```
10
Lattice="0.0000 5.2222 5.2222 5.2222 0.0000 5.2222 5.2222 5.2222 0.0000" Properties=species:S:1:pos:R:3 pbc="T T T"
Lu 7.9592 5.0963 5.0963
Lu 2.4852 2.4852 2.4852
Lu 5.3481 5.3481 2.4852
Lu 5.3481 2.4852 5.3481
Lu 5.0963 7.9592 5.0963
Lu 5.0963 5.0963 7.9592
Lu 7.9592 7.9592 7.9592
Lu 2.4852 5.3481 5.3481
Ni 3.9166 3.9166 3.9166
Ni 6.5277 6.5277 6.5277
```

2.
Ce2Mn17C2: simulated powder XRD pattern (Cu Kα, 1.54184 Å), based on a GGA-PBE-relaxed structure.
Peak positions follow from Bragg's law for the DFT cell and can differ from measured ones.

Top 10 peaks for 10° ≤ 2θ ≤ 90°, low angle first:
d/Å  intensity
2.965  52
2.485  48
2.370  52
2.158  53
2.141  100
2.126  57
2.119  94
2.074  28
2.042  76
1.482  33

Structural model:
```
21
Lattice="4.7541 -4.3156 0.0000 4.7541 4.3156 0.0000 -0.9608 0.0000 6.3536" Properties=species:S:1:pos:R:3 pbc="T T T"
Ce 1.0439 0.0000 2.1659
Ce 7.5035 0.0000 4.1877
Mn 2.3771 2.1578 0.0000
Mn 0.5975 0.0000 5.4987
Mn 3.4766 2.0636 2.1615
Mn 2.7177 1.1833 4.5811
Mn 4.7541 2.3372 0.0000
Mn 5.0708 2.0636 4.1920
Mn 3.7434 0.0000 0.6181
Mn 2.7177 -1.1833 4.5811
Mn 2.3771 -2.1578 0.0000
Mn 4.2737 0.0000 3.1768
Mn 5.8297 1.1833 1.7725
Mn 4.8040 0.0000 5.7355
Mn 3.4766 -2.0636 2.1615
Mn 4.7541 -2.3372 0.0000
Mn 5.8297 -1.1833 1.7725
Mn 5.0708 -2.0636 4.1920
Mn 7.9499 0.0000 0.8548
C 1.8966 2.1578 3.1768
C 1.8966 -2.1578 3.1768
```

3.
Sr4Cd11: simulated powder XRD pattern (Cu Kα, 1.54184 Å), based on a GGA-PBE-relaxed structure.
Peak positions follow from Bragg's law for the DFT cell and can differ from measured ones.

Top 10 peaks for 10° ≤ 2θ ≤ 90°, low angle first:
d/Å  intensity
7.770  44
3.405  70
2.776  100
2.747  25
2.614  66
2.321  29
2.155  17
1.943  26
1.591  22
1.548  15

Structural model:
```
30
Lattice="-7.7701 7.7701 3.9680 7.7701 -7.7701 3.9680 7.7701 7.7701 -3.9680" Properties=species:S:1:pos:R:3 pbc="T T T"
Sr 5.6512 3.8851 -1.4413
Sr 9.8891 3.8851 -1.4413
Sr 0.0000 1.7661 0.5427
Sr 0.0000 6.0040 0.5427
Sr 7.7701 1.7661 3.4253
Sr 7.7701 6.0040 3.4253
Sr -2.1189 3.8851 5.4093
Sr 2.1189 3.8851 5.4093
Cd 7.7701 0.0000 0.0000
Cd 3.6334 1.6601 0.1393
Cd 11.9069 1.6601 0.1393
Cd 5.5451 -0.2517 1.8447
Cd 9.9951 -0.2517 1.8447
Cd 5.5451 7.5184 -1.8447
Cd 2.2250 -0.2517 2.1233
Cd 7.7701 3.8851 0.9920
Cd 3.6334 6.1101 0.1393
Cd 4.1368 -1.6601 4.1073
Cd -3.8851 3.8851 1.9840
Cd 0.0000 0.0000 3.9680
Cd 3.8851 3.8851 1.9840
Cd 3.6334 9.4302 -0.1393
Cd 4.1368 1.6601 3.8287
Cd 0.0000 3.8851 2.9760
Cd 5.5451 8.0218 1.8447
Cd 2.2250 0.2517 5.8127
Cd -2.2250 8.0218 2.1233
Cd 2.2250 8.0218 2.1233
Cd -4.1368 6.1101 3.8287
Cd 4.1368 6.1101 3.8287
```

4.
Mg6GaNi: simulated powder XRD pattern (Cu Kα, 1.54184 Å), based on a GGA-PBE-relaxed structure.
Peak positions follow from Bragg's law for the DFT cell and can differ from measured ones.

Top 10 peaks for 10° ≤ 2θ ≤ 90°, low angle first:
d/Å  intensity
5.191  25
4.806  18
3.526  16
2.665  30
2.403  36
2.331  100
2.284  47
1.785  18
1.373  17
1.279  17

Structural model:
```
16
Lattice="4.8055 0.0000 0.0000 0.0000 6.2106 0.0000 0.0000 0.0000 10.3817" Properties=species:S:1:pos:R:3 pbc="T T T"
Mg 0.0000 0.0000 0.0000
Mg 0.0000 0.0000 5.1374
Mg 0.0000 1.4991 2.4708
Mg 0.0000 1.6062 7.6617
Mg 0.0000 3.1053 5.1908
Mg 0.0000 3.1053 10.3282
Mg 0.0000 4.6044 7.6617
Mg 0.0000 4.7116 2.4708
Mg 2.4028 1.5473 9.4565
Mg 2.4028 1.5580 4.2657
Mg 2.4028 4.6527 4.2657
Mg 2.4028 4.6633 9.4565
Ga 2.4028 0.0000 6.8353
Ga 2.4028 3.1053 1.6444
Ni 2.4028 0.0000 1.6535
Ni 2.4028 3.1053 6.8443
```

5.
NaC4N3: simulated powder XRD pattern (Cu Kα, 1.54184 Å), based on a GGA-PBE-relaxed structure.
Peak positions follow from Bragg's law for the DFT cell and can differ from measured ones.

Top 10 peaks for 10° ≤ 2θ ≤ 90°, low angle first:
d/Å  intensity
4.484  32
4.388  23
3.715  17
3.599  29
3.471  20
3.446  14
3.163  100
2.989  37
2.885  34
2.323  13

Structural model:
```
16
Lattice="3.8167 0.0000 0.0000 1.2410 7.7069 0.0000 0.1969 2.4684 8.9671" Properties=species:S:1:pos:R:3 pbc="T T T"
Na 0.9498 2.0463 3.0610
Na 4.3048 8.1289 5.9061
C 1.3851 4.1804 8.4927
C 1.3228 3.1390 6.2908
C 1.6103 4.2390 7.1032
C 2.0852 5.4259 6.5325
C 3.1693 4.7494 2.4346
C 3.6442 5.9362 1.8639
C 3.9317 7.0362 2.6763
C 3.8694 5.9948 0.4744
N 1.0030 1.6906 0.6813
N 1.0849 2.2131 5.6044
N 2.4738 6.4369 6.0748
N 2.7808 3.7383 2.8923
N 4.1697 7.9621 3.3627
N 4.2515 8.4846 8.2858
```

6.
LaPrAl4: simulated powder XRD pattern (Cu Kα, 1.54184 Å), based on a GGA-PBE-relaxed structure.
Peak positions follow from Bragg's law for the DFT cell and can differ from measured ones.

Top 10 peaks for 10° ≤ 2θ ≤ 90°, low angle first:
d/Å  intensity
4.688  55
2.871  96
2.448  100
1.863  15
1.657  37
1.563  33
1.435  22
1.372  11
1.284  16
1.238  11

Structural model:
```
6
Lattice="0.0000 4.0598 4.0598 4.0598 0.0000 4.0598 4.0598 4.0598 0.0000" Properties=species:S:1:pos:R:3 pbc="T T T"
La 0.0000 0.0000 0.0000
Pr 2.0299 2.0299 2.0299
Al 5.0757 3.0438 3.0438
Al 3.0438 5.0757 3.0438
Al 3.0438 3.0438 5.0757
Al 5.0757 5.0757 5.0757
```

7.
SrAl2P2O8F2: simulated powder XRD pattern (Cu Kα, 1.54184 Å), based on a GGA-PBE-relaxed structure.
Peak positions follow from Bragg's law for the DFT cell and can differ from measured ones.

Top 10 peaks for 10° ≤ 2θ ≤ 90°, low angle first:
d/Å  intensity
4.406  63
3.586  100
3.192  59
3.086  45
3.035  41
3.007  42
2.984  52
2.752  69
2.163  40
1.865  38

Structural model:
```
60
Lattice="4.7286 0.0000 0.0000 0.0000 12.1409 0.0000 0.0000 0.0000 12.3432" Properties=species:S:1:pos:R:3 pbc="T T T"
Sr 1.1720 0.0664 3.2574
Sr 1.1922 12.0745 9.4290
Sr 3.5363 6.0040 9.0858
Sr 3.5565 6.1369 2.9142
Al 0.0154 1.7409 6.2051
Al 1.1697 3.0428 1.3196
Al 1.1946 9.0981 7.4912
Al 2.3489 10.4000 0.0335
Al 2.3797 4.3295 6.1381
Al 3.5340 3.0276 11.0236
Al 3.5589 9.1133 4.8520
Al 4.7132 7.8114 12.3097
P 0.1097 6.4915 6.1560
P 1.1651 3.1410 8.8457
P 1.1992 8.9999 2.6741
P 2.2546 5.6494 12.3276
P 2.4740 11.7199 6.1872
P 3.5294 2.9294 3.4975
P 3.5634 9.2115 9.6691
P 4.6188 0.4210 0.0156
O 0.0457 9.7706 8.8676
O 0.1451 9.6457 3.6111
O 0.4374 1.2836 1.1832
O 0.4593 7.3348 7.4254
O 0.6249 7.8119 1.8446
O 0.7106 1.9461 7.9586
O 0.9890 11.5882 11.8447
O 1.0555 6.4128 11.7602
O 1.3088 5.7281 5.5886
O 1.3752 0.5527 5.6731
O 1.6537 10.1948 1.7870
O 1.7394 4.3290 8.0162
O 1.9050 4.8061 1.2538
O 1.9269 10.8573 7.3548
O 2.2192 2.4952 9.7827
O 2.3186 2.3703 2.6960
O 2.4099 8.4407 3.4756
O 2.5094 8.5656 8.7321
O 2.8017 4.7869 11.1600
O 2.8235 10.8766 4.9178
O 2.9892 10.3995 10.4986
O 3.0748 4.1243 4.3846
O 3.3533 6.6232 0.4985
O 3.4198 11.7985 0.5830
O 3.6731 0.3423 6.7546
O 3.7395 5.5177 6.6701
O 4.0180 8.0166 10.5562
O 4.1036 1.7414 4.3270
O 4.2693 1.2643 11.0894
O 4.2912 7.3540 4.9884
O 4.5835 3.5753 2.5605
O 4.6829 3.7002 9.6472
F 0.0619 3.5470 12.2766
F 1.0439 3.1611 5.6924
F 1.3204 8.9798 11.8640
F 2.3024 8.5939 6.1050
F 2.4262 2.5234 0.0666
F 3.4082 2.9094 6.6508
F 3.6847 9.2315 0.4792
F 4.6666 9.6175 6.2382
```

8.
Li2TlHg: simulated powder XRD pattern (Cu Kα, 1.54184 Å), based on a GGA-PBE-relaxed structure.
Peak positions follow from Bragg's law for the DFT cell and can differ from measured ones.

Top 8 peaks for 10° ≤ 2θ ≤ 90°, low angle first:
d/Å  intensity
3.396  100
2.401  89
1.961  30
1.698  16
1.519  40
1.386  32
1.201  10
1.132  20

Structural model:
```
16
Lattice="6.7916 0.0000 0.0000 0.0000 6.7916 0.0000 0.0000 0.0000 6.7916" Properties=species:S:1:pos:R:3 pbc="T T T"
Li 1.6979 1.6979 1.6979
Li 1.6979 1.6979 5.0937
Li 1.6979 5.0937 1.6979
Li 1.6979 5.0937 5.0937
Li 5.0937 1.6979 1.6979
Li 5.0937 1.6979 5.0937
Li 5.0937 5.0937 1.6979
Li 5.0937 5.0937 5.0937
Tl 0.0000 0.0000 0.0000
Tl 0.0000 3.3958 3.3958
Tl 3.3958 0.0000 3.3958
Tl 3.3958 3.3958 0.0000
Hg 0.0000 0.0000 3.3958
Hg 0.0000 3.3958 0.0000
Hg 3.3958 0.0000 0.0000
Hg 3.3958 3.3958 3.3958
```